Starting from DFT lattice parameters and positions (PBE+U), the powder X-ray diffraction pattern of YCrO3 was calculated for Cu Ka.
Kinematic intensities with the Lorentz-polarization factor, no thermal factor.

```
YCrO3
1.0
3.854 0.000 0.000
0.000 3.854 0.000
0.000 0.000 3.854
Y Cr O
1 1 3
Direct
0.000 0.000 0.000 Y
0.500 0.500 0.500 Cr
0.000 0.500 0.500 O
0.500 0.000 0.500 O
0.500 0.500 0.000 O
```

The 10 most intense peaks (10 to 90 degrees two-theta), sorted by position:
Position (°2θ), I/Imax
23.1, 3
32.9, 100
40.5, 16
47.2, 38
53.1, 2
58.7, 36
68.9, 21
78.5, 15
83.1, 5
87.7, 7

---

Starting from DFT lattice parameters and positions (PBE+U), the powder X-ray diffraction pattern of Y2Cr3O9 was calculated for Cu Ka.
Kinematic intensities with the Lorentz-polarization factor, no thermal factor.

```
Y2Cr3O9
1.0
5.254 0.000 0.000
-0.014 7.552 0.000
-0.047 -0.033 16.325
Y Cr O
8 12 36
Direct
0.000 0.000 0.000 Y
0.006 0.002 0.670 Y
0.028 0.501 0.704 Y
0.034 0.507 0.374 Y
0.497 0.504 0.875 Y
0.505 0.504 0.204 Y
0.529 0.999 0.170 Y
0.536 0.997 0.499 Y
0.007 0.757 0.853 Cr
0.009 0.243 0.853 Cr
0.017 0.252 0.187 Cr
0.017 0.752 0.187 Cr
0.022 0.742 0.521 Cr
0.029 0.257 0.521 Cr
0.507 0.255 0.022 Cr
0.511 0.742 0.022 Cr
0.516 0.752 0.687 Cr
0.517 0.252 0.686 Cr
0.521 0.762 0.352 Cr
0.529 0.248 0.351 Cr
0.089 0.005 0.858 O
0.100 0.996 0.194 O
0.120 0.000 0.532 O
0.209 0.285 0.623 O
0.213 0.718 0.625 O
0.231 0.316 0.285 O
0.231 0.716 0.949 O
0.233 0.690 0.284 O
0.240 0.292 0.949 O
0.291 0.288 0.447 O
0.299 0.314 0.784 O
0.300 0.689 0.784 O
0.302 0.717 0.451 O
0.329 0.718 0.124 O
0.336 0.285 0.122 O
0.414 0.999 0.031 O
0.434 0.002 0.695 O
0.439 0.996 0.360 O
0.595 0.508 0.013 O
0.600 0.501 0.679 O
0.620 0.503 0.342 O
0.700 0.218 0.252 O
0.706 0.784 0.249 O
0.733 0.188 0.589 O
0.734 0.813 0.590 O
0.737 0.216 0.926 O
0.738 0.787 0.924 O
0.792 0.211 0.426 O
0.801 0.813 0.089 O
0.803 0.187 0.089 O
0.804 0.787 0.423 O
0.823 0.218 0.748 O
0.823 0.785 0.749 O
0.914 0.500 0.841 O
0.934 0.507 0.180 O
0.944 0.505 0.515 O
```

The 10 most intense peaks (10 to 90 degrees two-theta), sorted by position:
Position (°2θ), I/Imax
16.0, 30
17.7, 12
21.3, 27
32.9, 23
33.5, 100
34.1, 23
48.1, 15
48.2, 35
60.7, 12
70.4, 11

---

Starting from DFT lattice parameters and positions (PBE+U), the powder X-ray diffraction pattern of Y2Cr3O12 was calculated for Cu Ka.
Kinematic intensities with the Lorentz-polarization factor, no thermal factor.

```
Y2Cr3O12
1.0
5.085 0.000 0.000
2.532 6.346 0.000
2.452 0.337 13.976
Y Cr O
4 6 24
Direct
0.120 0.207 0.046 Y
0.127 0.872 0.377 Y
0.873 0.128 0.623 Y
0.880 0.793 0.954 Y
0.367 0.967 0.796 Cr
0.372 0.627 0.122 Cr
0.386 0.284 0.455 Cr
0.614 0.716 0.545 Cr
0.628 0.373 0.878 Cr
0.633 0.033 0.204 Cr
0.148 0.014 0.907 O
0.179 0.547 0.056 O
0.183 0.307 0.561 O
0.183 0.696 0.227 O
0.194 0.889 0.727 O
0.258 0.173 0.385 O
0.271 0.874 0.527 O
0.319 0.558 0.866 O
0.322 0.209 0.181 O
0.383 0.516 0.409 O
0.438 0.164 0.738 O
0.445 0.833 0.061 O
0.555 0.167 0.939 O
0.562 0.836 0.262 O
0.617 0.484 0.591 O
0.678 0.791 0.819 O
0.681 0.442 0.134 O
0.729 0.126 0.473 O
0.742 0.827 0.615 O
0.806 0.111 0.273 O
0.817 0.304 0.773 O
0.817 0.693 0.439 O
0.821 0.453 0.944 O
0.852 0.986 0.093 O
```

The 10 most intense peaks (10 to 90 degrees two-theta), sorted by position:
Position (°2θ), I/Imax
12.7, 16
14.0, 18
29.1, 35
29.3, 100
30.7, 17
35.3, 11
47.4, 19
53.7, 11
59.8, 16
60.7, 11

---

Starting from DFT lattice parameters and positions (PBE+U), the powder X-ray diffraction pattern of YCr2O2 was calculated for Cu Ka.
Kinematic intensities with the Lorentz-polarization factor, no thermal factor.

```
YCr2O2
1.0
-3.201 3.201 8.326
3.201 -3.201 8.326
3.201 3.201 -8.326
Y Cr O
4 8 8
Direct
0.000 0.000 0.000 Y
0.000 0.000 0.500 Y
0.000 0.500 0.000 Y
0.500 0.000 0.500 Y
0.060 0.581 0.479 Cr
0.397 0.419 0.979 Cr
0.419 0.397 0.479 Cr
0.419 0.940 0.021 Cr
0.581 0.060 0.979 Cr
0.581 0.603 0.521 Cr
0.603 0.581 0.021 Cr
0.940 0.419 0.521 Cr
0.197 0.712 0.485 O
0.273 0.288 0.985 O
0.288 0.273 0.485 O
0.288 0.803 0.015 O
0.712 0.197 0.985 O
0.712 0.727 0.515 O
0.727 0.712 0.015 O
0.803 0.288 0.515 O
```

The 10 most intense peaks (10 to 90 degrees two-theta), sorted by position:
Position (°2θ), I/Imax
21.2, 44
29.9, 100
30.3, 45
35.3, 34
39.8, 85
40.5, 41
41.6, 28
45.6, 20
49.8, 36
57.6, 25

---

Starting from DFT lattice parameters and positions (PBE+U), the powder X-ray diffraction pattern of YCrO3 was calculated for Cu Ka.
Kinematic intensities with the Lorentz-polarization factor, no thermal factor.

```
YCrO3
1.0
6.087 0.000 0.000
-3.043 5.271 0.000
0.000 0.000 12.013
Y Cr O
6 6 18
Direct
0.000 0.000 0.000 Y
0.000 0.000 0.500 Y
0.333 0.667 0.457 Y
0.333 0.667 0.957 Y
0.667 0.333 0.457 Y
0.667 0.333 0.957 Y
0.000 0.333 0.224 Cr
0.000 0.667 0.724 Cr
0.333 0.000 0.224 Cr
0.333 0.333 0.724 Cr
0.667 0.000 0.724 Cr
0.667 0.667 0.224 Cr
0.000 0.000 0.203 O
0.000 0.000 0.703 O
0.000 0.307 0.388 O
0.000 0.360 0.062 O
0.000 0.640 0.562 O
0.000 0.693 0.888 O
0.307 0.000 0.388 O
0.307 0.307 0.888 O
0.333 0.667 0.242 O
0.333 0.667 0.742 O
0.360 0.000 0.062 O
0.360 0.360 0.562 O
0.640 0.000 0.562 O
0.640 0.640 0.062 O
0.667 0.333 0.242 O
0.667 0.333 0.742 O
0.693 0.000 0.888 O
0.693 0.693 0.388 O
```

The 10 most intense peaks (10 to 90 degrees two-theta), sorted by position:
Position (°2θ), I/Imax
14.7, 15
29.3, 34
29.7, 44
30.3, 59
33.0, 100
42.3, 34
52.0, 54
54.9, 24
61.1, 32
63.0, 16

---

Starting from DFT lattice parameters and positions (PBE+U), the powder X-ray diffraction pattern of YCrO4 was calculated for Cu Ka.
Kinematic intensities with the Lorentz-polarization factor, no thermal factor.

```
YCrO4
1.0
0.000 5.092 5.112
3.154 0.000 5.112
3.154 5.092 0.000
Y Cr O
2 2 8
Direct
0.000 0.000 0.000 Y
0.250 0.250 0.250 Y
0.500 0.500 0.500 Cr
0.750 0.750 0.750 Cr
0.320 0.858 0.492 O
0.330 0.492 0.858 O
0.391 0.921 0.929 O
0.492 0.330 0.320 O
0.758 0.929 0.921 O
0.858 0.320 0.330 O
0.921 0.391 0.758 O
0.929 0.758 0.391 O
```

The 10 most intense peaks (10 to 90 degrees two-theta), sorted by position:
Position (°2θ), I/Imax
18.7, 8
24.7, 100
33.4, 60
40.1, 9
49.3, 55
50.6, 15
61.9, 9
62.1, 8
64.5, 10
70.2, 9

---

Starting from DFT lattice parameters and positions (PBE+U), the powder X-ray diffraction pattern of ZnCr2O4 was calculated for Cu Ka.
Kinematic intensities with the Lorentz-polarization factor, no thermal factor.

```
ZnCr2O4
1.0
5.929 0.000 0.000
0.000 10.268 0.000
0.000 0.000 5.114
Zn Cr O
4 8 16
Direct
0.250 0.250 0.042 Zn
0.250 0.750 0.365 Zn
0.750 0.250 0.635 Zn
0.750 0.750 0.958 Zn
0.000 0.000 0.500 Cr
0.000 0.500 0.500 Cr
0.250 0.513 0.990 Cr
0.250 0.987 0.990 Cr
0.500 0.000 0.500 Cr
0.500 0.500 0.500 Cr
0.750 0.013 0.010 Cr
0.750 0.487 0.010 Cr
0.002 0.109 0.834 O
0.002 0.391 0.834 O
0.250 0.098 0.310 O
0.250 0.402 0.310 O
0.250 0.606 0.644 O
0.250 0.894 0.644 O
0.498 0.109 0.834 O
0.498 0.391 0.834 O
0.502 0.609 0.166 O
0.502 0.891 0.166 O
0.750 0.106 0.356 O
0.750 0.394 0.356 O
0.750 0.598 0.690 O
0.750 0.902 0.690 O
0.998 0.609 0.166 O
0.998 0.891 0.166 O
```

The 10 most intense peaks (10 to 90 degrees two-theta), sorted by position:
Position (°2θ), I/Imax
17.3, 36
24.6, 59
35.0, 100
35.1, 18
39.3, 56
44.2, 34
50.3, 88
62.7, 20
62.9, 26
84.4, 22

---

Starting from DFT lattice parameters and positions (PBE+U), the powder X-ray diffraction pattern of ZnCr2O4 was calculated for Cu Ka.
Kinematic intensities with the Lorentz-polarization factor, no thermal factor.

```
ZnCr2O4
1.0
5.997 0.000 0.000
-2.998 5.193 0.000
0.000 0.000 14.739
Zn Cr O
6 12 24
Direct
0.000 0.000 0.000 Zn
0.000 0.000 0.243 Zn
0.333 0.667 0.582 Zn
0.667 0.333 0.287 Zn
0.667 0.333 0.665 Zn
0.667 0.333 0.915 Zn
0.000 0.000 0.624 Cr
0.167 0.333 0.790 Cr
0.167 0.833 0.790 Cr
0.331 0.166 0.458 Cr
0.333 0.667 0.334 Cr
0.333 0.667 0.957 Cr
0.501 0.002 0.123 Cr
0.501 0.499 0.123 Cr
0.667 0.833 0.790 Cr
0.834 0.166 0.458 Cr
0.834 0.669 0.458 Cr
0.998 0.499 0.123 Cr
0.000 0.000 0.385 O
0.000 0.000 0.862 O
0.031 0.515 0.869 O
0.151 0.302 0.537 O
0.151 0.849 0.537 O
0.183 0.365 0.043 O
0.183 0.817 0.043 O
0.302 0.151 0.710 O
0.333 0.667 0.197 O
0.333 0.667 0.718 O
0.357 0.178 0.199 O
0.485 0.515 0.869 O
0.485 0.969 0.869 O
0.507 0.013 0.382 O
0.507 0.493 0.382 O
0.635 0.817 0.043 O
0.667 0.333 0.051 O
0.667 0.333 0.528 O
0.698 0.849 0.537 O
0.822 0.178 0.199 O
0.822 0.643 0.199 O
0.849 0.151 0.710 O
0.849 0.698 0.710 O
0.987 0.493 0.382 O
```

The 10 most intense peaks (10 to 90 degrees two-theta), sorted by position:
Position (°2θ), I/Imax
29.8, 37
35.1, 100
42.6, 14
52.9, 9
56.2, 8
56.3, 28
61.7, 21
61.9, 22
73.1, 8
88.5, 10

---

Starting from DFT lattice parameters and positions (PBE+U), the powder X-ray diffraction pattern of ZnCrO2 was calculated for Cu Ka.
Kinematic intensities with the Lorentz-polarization factor, no thermal factor.

```
ZnCrO2
1.0
2.976 0.000 0.000
1.481 8.361 0.000
1.465 0.528 8.442
Zn Cr O
4 4 8
Direct
0.077 0.223 0.121 Zn
0.342 0.575 0.232 Zn
0.658 0.425 0.768 Zn
0.923 0.777 0.879 Zn
0.211 0.895 0.179 Cr
0.372 0.306 0.447 Cr
0.628 0.694 0.553 Cr
0.789 0.105 0.821 Cr
0.087 0.608 0.724 O
0.169 0.277 0.891 O
0.184 0.732 0.402 O
0.378 0.933 0.813 O
0.622 0.067 0.187 O
0.816 0.268 0.598 O
0.831 0.723 0.109 O
0.913 0.392 0.276 O
```

The 10 most intense peaks (10 to 90 degrees two-theta), sorted by position:
Position (°2θ), I/Imax
10.5, 45
21.0, 49
29.1, 71
31.8, 76
34.3, 99
34.4, 100
34.6, 89
49.0, 80
50.0, 52
50.1, 50